# Cd3Ag5F12
Calculated powder diffraction line list, Cu Kα. Input: the PBE geometry in Alexandria.
No peak broadening, texture or thermal motion is included.

Cell and atoms:
a b c (Å): 9.9406 9.9406 3.5512
angles (deg): 90.00 90.00 120.00
Space group P-62m (No. 189)
Unique sites:
Cd 0.0000 0.3470 0.0000 [3 per cell]
Ag 0.0000 0.7263 0.5000 [3 per cell]
Ag 0.3333 0.6667 0.5000 [2 per cell]
F 0.0000 0.1908 0.5000 [3 per cell]
F 0.0000 0.4823 0.5000 [3 per cell]
F 0.1987 0.7428 0.0000 [6 per cell]

Principal peaks in the range 2θ = 10–80°, in order of falling intensity:
2theta  d (Å)  I (rel.)  h k l
30.95  2.889  100  1 1 1
31.17  2.870  76  3 0 0
44.50  2.036  43  2 2 1
37.49  2.399  40  2 1 1
55.32  1.661  37  4 1 1
27.41  3.254  26  2 1 0
61.40  1.510  21  3 0 2
53.06  1.726  20  3 2 1

***

# Li6CdAu5
Calculated powder diffraction line list, Cu Kα. Input: the PBE geometry in Alexandria.
No peak broadening, texture or thermal motion is included.

Cell and atoms:
a b c (Å): 4.4636 6.2540 13.4627
angles (deg): 90.00 90.00 90.00
Space group Immm (No. 71)
Unique sites:
Li 0.0000 0.2315 0.0000 [4 per cell]
Li 0.0000 0.2597 0.3272 [8 per cell]
Cd 0.0000 0.0000 0.5000 [2 per cell]
Au 0.0000 0.0000 0.1687 [4 per cell]
Au 0.0000 0.5000 0.1595 [4 per cell]
Au 0.0000 0.5000 0.5000 [2 per cell]

Principal peaks in the range 2θ = 10–80°, in order of falling intensity:
2theta  d (Å)  I (rel.)  h k l
28.20  3.165  100  1 0 3
40.56  2.224  86  1 2 3
28.55  3.127  49  0 2 0
66.18  1.412  27  3 0 3
40.42  2.232  22  2 0 0
50.22  1.817  22  2 2 0
40.19  2.244  22  0 0 6
50.03  1.823  21  0 2 6

***

# Bi2H5Pt4
Calculated powder diffraction line list, Cu Kα. Input: the PBE geometry in Alexandria.
No peak broadening, texture or thermal motion is included.

Cell and atoms:
a b c (Å): 4.3840 5.1189 7.0696
angles (deg): 70.87 79.20 82.06
Space group P-1 (No. 2)
Unique sites:
Bi 0.0185 0.1787 0.1871 [2 per cell]
H 0.1116 0.6443 0.3430 [2 per cell]
H 0.3793 0.2504 0.7279 [2 per cell]
H 0.5000 0.0000 0.5000 [1 per cell]
Pt 0.2578 0.3017 0.4928 [2 per cell]
Pt 0.4178 0.7077 0.1023 [2 per cell]

Principal peaks in the range 2θ = 10–80°, in order of falling intensity:
2theta  d (Å)  I (rel.)  h k l
33.84  2.649  100  1 1 -1
31.07  2.879  82  1 1 2
30.91  2.893  80  -1 1 1
37.31  2.410  47  0 2 0
41.01  2.201  37  0 0 3
31.59  2.832  31  1 0 2
28.98  3.081  28  1 -1 0
42.26  2.138  27  2 0 1